Structure and calculated PXRD pattern of VCr3O8 (a structure optimized by DFT (GGA+U); Cu Kα).
Intensities are scaled so that the largest is 100.

Structure:
```
VCr3O8
1.0
5.0181 -2.9455 0.0000
5.0181 2.9455 0.0000
-3.3226 0.0000 4.9448
V Cr O
1 3 8
Direct
0.0000 0.0000 0.0000 V
0.0000 0.0000 0.5000 Cr
0.0000 0.5000 0.0000 Cr
0.5000 0.0000 0.0000 Cr
0.2005 0.7657 0.2202 O
0.2288 0.2288 0.2045 O
0.2343 0.7995 0.7798 O
0.2373 0.2373 0.7822 O
0.7627 0.7627 0.2178 O
0.7657 0.2005 0.2202 O
0.7712 0.7712 0.7955 O
0.7995 0.2343 0.7798 O
```

Principal peaks in the range 10° ≤ 2θ ≤ 80°, by intensity:
2θ/deg, Rel. int.
18.4, 100
43.2, 66
17.9, 61
18.7, 48
43.5, 32
35.9, 21
61.9, 17
64.0, 16
35.1, 16
57.5, 16